Record 1
Structure and calculated powder XRD pattern of K2UInTe4 (DFT lattice parameters and positions (PBE); Cu Kα (weighted mean of Kα1 and Kα2)).
Peak positions follow from Bragg's law for the DFT cell and can differ from measured ones.

Principal peaks in the range 5 to 70 degrees two-theta, by angle:
2θ = 14.4°, I = 62; 2θ = 25.7°, I = 72; 2θ = 29.0°, I = 46; 2θ = 31.2°, I = 100; 2θ = 40.4°, I = 35; 2θ = 42.4°, I = 15; 2θ = 44.1°, I = 17; 2θ = 44.5°, I = 28; 2θ = 52.8°, I = 13; 2θ = 56.6°, I = 12; 2θ = 56.8°, I = 13; 2θ = 67.3°, I = 17

Atomic structure:
```
data_K2UInTe4
_chemical_formula_sum 'K2 U1 In1 Te4'
_cell_length_a 7.246
_cell_length_b 7.246
_cell_length_c 7.246
_cell_angle_alpha 106.10
_cell_angle_beta 106.10
_cell_angle_gamma 116.45
_symmetry_space_group_name_H-M 'P 1'
_symmetry_Int_Tables_number 1
_symmetry_space_group_name_Hall 'P 1'
loop_
_atom_site_label
_atom_site_fract_x
_atom_site_fract_y
_atom_site_fract_z
K1 0.000 0.500 0.500
K2 0.500 0.000 0.500
U1 0.000 0.000 0.000
In1 0.500 0.500 0.000
Te1 0.086 0.086 0.631
Te2 0.456 0.456 0.369
Te3 0.544 0.914 0.000
Te4 0.914 0.544 0.000
```

***

Record 2
Structure and calculated powder XRD pattern of Tb3PmEr3Se8 (DFT lattice parameters and positions (PBE); Cu Kα (weighted mean of Kα1 and Kα2)).
Peak positions follow from Bragg's law for the DFT cell and can differ from measured ones.

Principal peaks in the range 5 to 70 degrees two-theta, by angle:
2θ = 13.4°, I = 5; 2θ = 15.4°, I = 5; 2θ = 21.9°, I = 5; 2θ = 25.7°, I = 5; 2θ = 26.9°, I = 14; 2θ = 31.2°, I = 100; 2θ = 34.0°, I = 4; 2θ = 34.9°, I = 3; 2θ = 44.6°, I = 74; 2θ = 52.9°, I = 7; 2θ = 55.4°, I = 26; 2θ = 65.0°, I = 12

Atomic structure:
```
data_Tb3PmEr3Se8
_chemical_formula_sum 'Tb3 Pm1 Er3 Se8'
_cell_length_a 8.122
_cell_length_b 8.122
_cell_length_c 8.122
_cell_angle_alpha 59.97
_cell_angle_beta 59.97
_cell_angle_gamma 59.97
_symmetry_space_group_name_H-M 'P 1'
_symmetry_Int_Tables_number 1
_symmetry_space_group_name_Hall 'P 1'
loop_
_atom_site_label
_atom_site_fract_x
_atom_site_fract_y
_atom_site_fract_z
Tb1 0.000 0.500 0.500
Tb2 0.500 0.000 0.500
Tb3 0.500 0.500 0.000
Pm1 0.500 0.500 0.500
Er1 0.000 0.000 0.500
Er2 0.000 0.500 0.000
Er3 0.500 0.000 0.000
Se1 0.238 0.759 0.759
Se2 0.241 0.241 0.762
Se3 0.241 0.762 0.241
Se4 0.248 0.248 0.248
Se5 0.752 0.752 0.752
Se6 0.759 0.238 0.759
Se7 0.759 0.759 0.238
Se8 0.762 0.241 0.241
```

***

Record 3
Structure and calculated powder XRD pattern of ZrPd4Au (DFT lattice parameters and positions (PBE); Cu Kα (weighted mean of Kα1 and Kα2)).
Peak positions follow from Bragg's law for the DFT cell and can differ from measured ones.

Principal peaks in the range 5 to 70 degrees two-theta, by angle:
2θ = 28.0°, I = 21; 2θ = 35.9°, I = 75; 2θ = 37.0°, I = 34; 2θ = 37.3°, I = 56; 2θ = 39.8°, I = 83; 2θ = 40.2°, I = 34; 2θ = 41.0°, I = 45; 2θ = 41.1°, I = 94; 2θ = 41.3°, I = 100; 2θ = 44.7°, I = 33; 2θ = 65.8°, I = 23; 2θ = 68.3°, I = 42

Atomic structure:
```
data_ZrPd4Au
_chemical_formula_sum 'Zr2 Pd8 Au2'
_cell_length_a 9.399
_cell_length_b 9.399
_cell_length_c 4.879
_cell_angle_alpha 96.13
_cell_angle_beta 96.13
_cell_angle_gamma 148.55
_symmetry_space_group_name_H-M 'P 1'
_symmetry_Int_Tables_number 1
_symmetry_space_group_name_Hall 'P 1'
loop_
_atom_site_label
_atom_site_fract_x
_atom_site_fract_y
_atom_site_fract_z
Zr1 0.097 0.903 0.500
Zr2 0.903 0.097 0.000
Pd1 0.192 0.833 0.013
Pd2 0.264 0.761 0.514
Pd3 0.342 0.683 0.017
Pd4 0.681 0.777 0.384
Pd5 0.683 0.342 0.517
Pd6 0.761 0.264 0.014
Pd7 0.777 0.681 0.884
Pd8 0.833 0.192 0.513
Au1 0.268 0.370 0.633
Au2 0.370 0.268 0.133
```